Entry 1:
Structure and simulated X-ray powder pattern of Tl4Ag3SnCl12 (a PBE-relaxed structure; Cu Kα (weighted mean of Kα1 and Kα2)).
Intensities are scaled so that the largest is 100.

Principal peaks in the range 5 to 70 degrees two-theta, sorted by position:
d_spacing, 2theta, I (rel.)
5.214, 17.00, 2.6
3.687, 24.14, 100.0
3.011, 29.67, 19.4
2.607, 34.40, 46.8
2.332, 38.61, 2.0
2.129, 42.46, 46.4
1.844, 49.44, 32.2
1.738, 52.66, 1.3
1.649, 55.75, 21.5
1.572, 58.73, 7.6
1.505, 61.61, 10.8
1.394, 67.17, 24.6

Atomic structure:
a b c (Å): 9.0317 9.0317 9.0317
angles (deg): 109.47 109.47 109.47
Fractional positions:
Tl 0.0000 0.0000 0.5000
Tl 0.0000 0.5000 0.0000
Tl 0.5000 0.0000 0.0000
Tl 0.5000 0.5000 0.5000
Ag 0.0000 0.5000 0.5000
Ag 0.5000 0.0000 0.5000
Ag 0.5000 0.5000 0.0000
Sn 0.0000 0.0000 0.0000
Cl 0.0000 0.2364 0.2364
Cl 0.0000 0.7636 0.7636
Cl 0.2364 0.0000 0.2364
Cl 0.2364 0.2364 0.0000
Cl 0.2500 0.5000 0.7500
Cl 0.2500 0.7500 0.5000
Cl 0.5000 0.2500 0.7500
Cl 0.5000 0.7500 0.2500
Cl 0.7500 0.2500 0.5000
Cl 0.7500 0.5000 0.2500
Cl 0.7636 0.0000 0.7636
Cl 0.7636 0.7636 0.0000

---

Entry 2:
Structure and simulated X-ray powder pattern of Cs5PaSe5 (a PBE-relaxed structure; Cu Kα (weighted mean of Kα1 and Kα2)).
Intensities are scaled so that the largest is 100.

Principal peaks in the range 5 to 70 degrees two-theta, sorted by position:
d_spacing, 2theta, I (rel.)
9.067, 9.75, 60.5
5.999, 14.77, 44.6
4.037, 22.02, 54.2
3.884, 22.90, 44.1
3.647, 24.41, 69.0
3.415, 26.09, 96.1
3.255, 27.40, 100.0
2.813, 31.81, 35.5
2.573, 34.87, 20.5
2.429, 37.02, 46.4
2.356, 38.19, 69.8
2.096, 43.17, 23.9

Atomic structure:
a b c (Å): 8.8756 8.8756 9.7000
angles (deg): 109.30 109.30 43.03
Fractional positions:
Cs 0.0000 0.0000 0.0000
Cs 0.2999 0.2999 0.2031
Cs 0.3305 0.3305 0.6718
Cs 0.6695 0.6695 0.3282
Cs 0.7001 0.7001 0.7969
Pa 0.0000 0.0000 0.5000
Se 0.1264 0.1264 0.3773
Se 0.1273 0.1273 0.7786
Se 0.5000 0.5000 0.5000
Se 0.8727 0.8727 0.2214
Se 0.8736 0.8736 0.6227

---

Entry 3:
Structure and simulated X-ray powder pattern of Ac3Si2Pd9 (a PBE-relaxed structure; Cu Kα (weighted mean of Kα1 and Kα2)).
Intensities are scaled so that the largest is 100.

Principal peaks in the range 5 to 70 degrees two-theta, sorted by position:
d_spacing, 2theta, I (rel.)
3.178, 28.08, 21.6
2.713, 33.02, 23.4
2.685, 33.37, 62.0
2.605, 34.43, 100.0
2.449, 36.69, 98.5
2.273, 39.66, 52.0
2.093, 43.23, 35.9
1.625, 56.63, 31.4
1.589, 58.04, 39.9
1.501, 61.82, 21.4
1.368, 68.63, 39.5
1.357, 69.26, 13.8

Atomic structure:
a b c (Å): 6.3564 6.3564 16.1118
angles (deg): 90.00 90.00 120.00
Fractional positions:
Ac 0.0000 0.0000 0.2500
Ac 0.0000 0.0000 0.7500
Ac 0.3333 0.6667 0.0768
Ac 0.3333 0.6667 0.4232
Ac 0.6667 0.3333 0.5768
Ac 0.6667 0.3333 0.9232
Si 0.3333 0.6667 0.6565
Si 0.3333 0.6667 0.8435
Si 0.6667 0.3333 0.1565
Si 0.6667 0.3333 0.3435
Pd 0.0273 0.5137 0.2500
Pd 0.1493 0.2986 0.5750
Pd 0.1493 0.2986 0.9250
Pd 0.1493 0.8507 0.5750
Pd 0.1493 0.8507 0.9250
Pd 0.2986 0.1493 0.0750
Pd 0.2986 0.1493 0.4250
Pd 0.4863 0.5137 0.2500
Pd 0.4863 0.9727 0.2500
Pd 0.5137 0.0273 0.7500
Pd 0.5137 0.4863 0.7500
Pd 0.7014 0.8507 0.5750
Pd 0.7014 0.8507 0.9250
Pd 0.8507 0.1493 0.0750
Pd 0.8507 0.1493 0.4250
Pd 0.8507 0.7014 0.0750
Pd 0.8507 0.7014 0.4250
Pd 0.9727 0.4863 0.7500